[1]
Diffraction record for LiEu3SiCl3O4. The XRD peak list is calculated, not measured: it uses DFT lattice parameters and positions (GGA-PBE) and Cu Kα (weighted mean of Kα1 and Kα2).

Atomic structure:
Cell: 9.518 7.024 13.663 Å, 90.00 90.00 90.00°
Fractional coordinates of all 48 atoms:
Li 0.000 0.000 0.000
Li 0.000 0.000 0.500
Li 0.500 0.000 0.000
Li 0.500 0.000 0.500
Eu 0.000 0.277 0.189
Eu 0.000 0.723 0.811
Eu 0.240 0.500 0.500
Eu 0.250 0.169 0.750
Eu 0.250 0.831 0.250
Eu 0.260 0.500 0.000
Eu 0.500 0.277 0.311
Eu 0.500 0.723 0.689
Eu 0.740 0.500 0.000
Eu 0.750 0.169 0.750
Eu 0.750 0.831 0.250
Eu 0.760 0.500 0.500
Si 0.000 0.292 0.889
Si 0.000 0.708 0.111
Si 0.500 0.292 0.611
Si 0.500 0.708 0.389
Cl 0.000 0.298 0.605
Cl 0.000 0.702 0.395
Cl 0.183 0.165 0.373
Cl 0.183 0.835 0.627
Cl 0.317 0.165 0.127
Cl 0.317 0.835 0.873
Cl 0.500 0.298 0.895
Cl 0.500 0.702 0.105
Cl 0.683 0.165 0.127
Cl 0.683 0.835 0.873
Cl 0.817 0.165 0.373
Cl 0.817 0.835 0.627
O 0.000 0.077 0.840
O 0.000 0.274 0.009
O 0.000 0.726 0.991
O 0.000 0.923 0.160
O 0.139 0.412 0.851
O 0.139 0.588 0.149
O 0.361 0.412 0.649
O 0.361 0.588 0.351
O 0.500 0.077 0.660
O 0.500 0.274 0.491
O 0.500 0.726 0.509
O 0.500 0.923 0.340
O 0.639 0.412 0.649
O 0.639 0.588 0.351
O 0.861 0.412 0.851
O 0.861 0.588 0.149

The 12 most intense peaks (5° ≤ 2θ ≤ 70°), by angle:
- d = 4.897 Å, 2θ = 18.1°, I 83.6
- d = 4.108 Å, 2θ = 21.6°, I 28.0
- d = 3.786 Å, 2θ = 23.5°, I 81.7
- d = 3.413 Å, 2θ = 26.1°, I 100.0
- d = 3.123 Å, 2θ = 28.6°, I 60.9
- d = 2.980 Å, 2θ = 30.0°, I 89.4
- d = 2.826 Å, 2θ = 31.7°, I 31.6
- d = 2.777 Å, 2θ = 32.2°, I 66.6
- d = 2.664 Å, 2θ = 33.6°, I 32.1
- d = 2.380 Å, 2θ = 37.8°, I 41.3
- d = 2.101 Å, 2θ = 43.0°, I 62.9
- d = 1.893 Å, 2θ = 48.1°, I 37.5

***

[2]
Diffraction record for La5CoGe3. The XRD peak list is calculated, not measured: it uses DFT lattice parameters and positions (GGA-PBE) and Cu Kα (weighted mean of Kα1 and Kα2).

Atomic structure:
Cell: 9.059 9.059 7.155 Å, 90.00 90.00 120.00°
Fractional coordinates of all 18 atoms:
La 0.000 0.238 0.250
La 0.000 0.762 0.750
La 0.238 0.000 0.250
La 0.238 0.238 0.750
La 0.333 0.667 0.000
La 0.333 0.667 0.500
La 0.667 0.333 0.000
La 0.667 0.333 0.500
La 0.762 0.000 0.750
La 0.762 0.762 0.250
Co 0.000 0.000 0.000
Co 0.000 0.000 0.500
Ge 0.000 0.409 0.750
Ge 0.000 0.591 0.250
Ge 0.409 0.000 0.750
Ge 0.409 0.409 0.250
Ge 0.591 0.000 0.250
Ge 0.591 0.591 0.750

The 12 most intense peaks (5° ≤ 2θ ≤ 70°), by angle:
- d = 3.255 Å, 2θ = 27.4°, I 15.8
- d = 2.965 Å, 2θ = 30.1°, I 24.3
- d = 2.807 Å, 2θ = 31.9°, I 100.0
- d = 2.739 Å, 2θ = 32.7°, I 96.3
- d = 2.615 Å, 2θ = 34.3°, I 35.7
- d = 1.914 Å, 2θ = 47.5°, I 23.2
- d = 1.858 Å, 2θ = 49.0°, I 32.1
- d = 1.789 Å, 2θ = 51.1°, I 13.8
- d = 1.720 Å, 2θ = 53.3°, I 15.9
- d = 1.712 Å, 2θ = 53.5°, I 17.9
- d = 1.477 Å, 2θ = 62.9°, I 21.6
- d = 1.437 Å, 2θ = 64.9°, I 16.4

***

[3]
Diffraction record for Zn5SeS4. The XRD peak list is calculated, not measured: it uses DFT lattice parameters and positions (GGA-PBE) and Cu Kα (weighted mean of Kα1 and Kα2).

Atomic structure:
Cell: 14.027 14.027 14.027 Å, 164.05 164.05 22.63°
Fractional coordinates of all 10 atoms:
Zn 0.000 0.000 0.000
Zn 0.197 0.197 0.000
Zn 0.401 0.401 0.000
Zn 0.599 0.599 0.000
Zn 0.803 0.803 0.000
Se 0.750 0.250 0.500
S 0.148 0.648 0.500
S 0.352 0.852 0.500
S 0.550 0.050 0.500
S 0.950 0.450 0.500

The 12 most intense peaks (5° ≤ 2θ ≤ 70°), by angle:
- d = 13.754 Å, 2θ = 6.4°, I 5.0
- d = 3.854 Å, 2θ = 23.1°, I 1.9
- d = 3.583 Å, 2θ = 24.9°, I 1.8
- d = 3.177 Å, 2θ = 28.1°, I 100.0
- d = 2.752 Å, 2θ = 32.5°, I 6.1
- d = 2.555 Å, 2θ = 35.1°, I 1.0
- d = 2.360 Å, 2θ = 38.1°, I 1.0
- d = 2.149 Å, 2θ = 42.1°, I 1.0
- d = 1.946 Å, 2θ = 46.7°, I 65.6
- d = 1.659 Å, 2θ = 55.4°, I 40.9
- d = 1.589 Å, 2θ = 58.1°, I 1.5
- d = 1.376 Å, 2θ = 68.2°, I 9.8

***

[4]
Diffraction record for US2. The XRD peak list is calculated, not measured: it uses DFT lattice parameters and positions (GGA-PBE) and Cu Kα (weighted mean of Kα1 and Kα2).

Atomic structure:
Cell: 7.250 7.250 3.934 Å, 90.00 90.00 120.00°
Fractional coordinates of all 9 atoms:
U 0.000 0.000 0.000
U 0.333 0.667 0.500
U 0.667 0.333 0.500
S 0.000 0.258 0.500
S 0.000 0.592 0.000
S 0.258 0.000 0.500
S 0.408 0.408 0.000
S 0.592 0.000 0.000
S 0.742 0.742 0.500

The 12 most intense peaks (5° ≤ 2θ ≤ 70°), by angle:
- d = 3.625 Å, 2θ = 24.6°, I 100.0
- d = 3.334 Å, 2θ = 26.7°, I 72.7
- d = 2.666 Å, 2θ = 33.6°, I 18.7
- d = 2.454 Å, 2θ = 36.6°, I 60.9
- d = 2.093 Å, 2θ = 43.2°, I 37.9
- d = 2.032 Å, 2θ = 44.6°, I 53.6
- d = 1.812 Å, 2θ = 50.3°, I 18.1
- d = 1.729 Å, 2θ = 53.0°, I 27.2
- d = 1.592 Å, 2θ = 57.9°, I 16.9
- d = 1.433 Å, 2θ = 65.1°, I 23.2
- d = 1.370 Å, 2θ = 68.5°, I 16.5
- d = 1.353 Å, 2θ = 69.5°, I 19.3

***

[5]
Diffraction record for Cs2Sn3HgSe8. The XRD peak list is calculated, not measured: it uses DFT lattice parameters and positions (GGA-PBE) and Cu Kα (weighted mean of Kα1 and Kα2).

Atomic structure:
Cell: 8.259 13.536 18.972 Å, 90.00 90.00 90.00°
Fractional coordinates of all 56 atoms:
Cs 0.239 0.189 0.160
Cs 0.249 0.127 0.549
Cs 0.251 0.873 0.049
Cs 0.261 0.811 0.660
Cs 0.739 0.311 0.840
Cs 0.749 0.373 0.451
Cs 0.751 0.627 0.951
Cs 0.761 0.689 0.340
Sn 0.015 0.480 0.653
Sn 0.233 0.431 0.985
Sn 0.238 0.450 0.323
Sn 0.262 0.550 0.823
Sn 0.267 0.569 0.485
Sn 0.485 0.520 0.153
Sn 0.515 0.020 0.347
Sn 0.733 0.069 0.015
Sn 0.738 0.050 0.677
Sn 0.762 0.950 0.177
Sn 0.767 0.931 0.515
Sn 0.985 0.980 0.847
Hg 0.015 0.998 0.347
Hg 0.485 0.002 0.847
Hg 0.515 0.502 0.653
Hg 0.985 0.498 0.153
Se 0.003 0.611 0.551
Se 0.004 0.100 0.739
Se 0.019 0.883 0.229
Se 0.026 0.873 0.459
Se 0.234 0.618 0.951
Se 0.234 0.871 0.852
Se 0.236 0.627 0.159
Se 0.241 0.637 0.357
Se 0.259 0.363 0.857
Se 0.264 0.373 0.659
Se 0.266 0.129 0.352
Se 0.266 0.382 0.451
Se 0.474 0.127 0.959
Se 0.481 0.117 0.729
Se 0.496 0.900 0.239
Se 0.497 0.389 0.051
Se 0.503 0.889 0.449
Se 0.504 0.400 0.261
Se 0.519 0.617 0.771
Se 0.526 0.627 0.541
Se 0.734 0.629 0.148
Se 0.734 0.882 0.049
Se 0.736 0.873 0.841
Se 0.741 0.863 0.643
Se 0.759 0.137 0.143
Se 0.764 0.127 0.341
Se 0.766 0.118 0.549
Se 0.766 0.371 0.648
Se 0.974 0.373 0.041
Se 0.981 0.383 0.271
Se 0.996 0.600 0.761
Se 0.997 0.111 0.949

The 12 most intense peaks (5° ≤ 2θ ≤ 70°), by angle:
- d = 6.768 Å, 2θ = 13.1°, I 69.3
- d = 4.074 Å, 2θ = 21.8°, I 27.2
- d = 3.673 Å, 2θ = 24.2°, I 28.2
- d = 3.646 Å, 2θ = 24.4°, I 100.0
- d = 3.466 Å, 2θ = 25.7°, I 35.1
- d = 3.309 Å, 2θ = 26.9°, I 93.8
- d = 2.563 Å, 2θ = 35.0°, I 30.9
- d = 2.292 Å, 2θ = 39.3°, I 26.9
- d = 2.065 Å, 2θ = 43.8°, I 36.2
- d = 2.043 Å, 2θ = 44.3°, I 33.7
- d = 2.034 Å, 2θ = 44.5°, I 45.4
- d = 1.752 Å, 2θ = 52.2°, I 25.1

***

[6]
Diffraction record for BaSrCeTiO6. The XRD peak list is calculated, not measured: it uses DFT lattice parameters and positions (GGA-PBE) and Cu Kα (weighted mean of Kα1 and Kα2).

Atomic structure:
Cell: 8.383 8.398 8.428 Å, 90.00 90.00 90.00°
Fractional coordinates of all 40 atoms:
Ba 0.000 0.000 0.000
Ba 0.000 0.000 0.500
Ba 0.500 0.000 0.000
Ba 0.500 0.500 0.500
Sr 0.000 0.500 0.000
Sr 0.000 0.500 0.500
Sr 0.500 0.000 0.500
Sr 0.500 0.500 0.000
Ce 0.251 0.253 0.750
Ce 0.251 0.747 0.250
Ce 0.749 0.253 0.250
Ce 0.749 0.747 0.750
Ti 0.250 0.254 0.251
Ti 0.250 0.746 0.749
Ti 0.750 0.254 0.749
Ti 0.750 0.746 0.251
O 0.015 0.236 0.269
O 0.015 0.764 0.731
O 0.224 0.486 0.278
O 0.224 0.514 0.722
O 0.227 0.276 0.015
O 0.227 0.724 0.985
O 0.267 0.016 0.234
O 0.267 0.984 0.766
O 0.279 0.228 0.485
O 0.279 0.772 0.515
O 0.484 0.279 0.223
O 0.484 0.721 0.777
O 0.516 0.279 0.777
O 0.516 0.721 0.223
O 0.721 0.228 0.515
O 0.721 0.772 0.485
O 0.733 0.016 0.766
O 0.733 0.984 0.234
O 0.773 0.276 0.985
O 0.773 0.724 0.015
O 0.776 0.486 0.722
O 0.776 0.514 0.278
O 0.985 0.236 0.731
O 0.985 0.764 0.269

The 12 most intense peaks (5° ≤ 2θ ≤ 70°), by angle:
- d = 4.851 Å, 2θ = 18.3°, I 10.8
- d = 2.971 Å, 2θ = 30.1°, I 100.0
- d = 2.536 Å, 2θ = 35.4°, I 5.9
- d = 2.529 Å, 2θ = 35.5°, I 2.9
- d = 2.426 Å, 2θ = 37.1°, I 4.1
- d = 2.107 Å, 2θ = 42.9°, I 10.6
- d = 2.098 Å, 2θ = 43.1°, I 20.9
- d = 1.929 Å, 2θ = 47.1°, I 3.2
- d = 1.716 Å, 2θ = 53.4°, I 27.6
- d = 1.713 Å, 2θ = 53.5°, I 13.8
- d = 1.487 Å, 2θ = 62.5°, I 12.4
- d = 1.483 Å, 2θ = 62.6°, I 6.2

***

[7]
Diffraction record for K2IrF6. The XRD peak list is calculated, not measured: it uses DFT lattice parameters and positions (GGA-PBE) and Cu Kα (weighted mean of Kα1 and Kα2).

Atomic structure:
Cell: 5.892 5.892 4.739 Å, 90.00 90.00 120.00°
Fractional coordinates of all 9 atoms:
K 0.333 0.667 0.290
K 0.667 0.333 0.710
Ir 0.000 0.000 0.000
F 0.162 0.324 0.774
F 0.162 0.838 0.774
F 0.324 0.162 0.226
F 0.676 0.838 0.774
F 0.838 0.162 0.226
F 0.838 0.676 0.226

The 12 most intense peaks (5° ≤ 2θ ≤ 70°), by angle:
- d = 5.103 Å, 2θ = 17.4°, I 85.9
- d = 4.739 Å, 2θ = 18.7°, I 28.7
- d = 3.472 Å, 2θ = 25.7°, I 100.0
- d = 2.946 Å, 2θ = 30.3°, I 41.1
- d = 2.502 Å, 2θ = 35.9°, I 26.3
- d = 2.247 Å, 2θ = 40.1°, I 46.1
- d = 2.149 Å, 2θ = 42.0°, I 27.2
- d = 1.786 Å, 2θ = 51.1°, I 29.9
- d = 1.736 Å, 2θ = 52.7°, I 24.6
- d = 1.496 Å, 2θ = 62.0°, I 19.0
- d = 1.473 Å, 2θ = 63.1°, I 12.3
- d = 1.356 Å, 2θ = 69.3°, I 12.3

***

[8]
Diffraction record for YMg14W. The XRD peak list is calculated, not measured: it uses DFT lattice parameters and positions (GGA-PBE) and Cu Kα (weighted mean of Kα1 and Kα2).

Atomic structure:
Cell: 6.399 6.399 10.174 Å, 90.00 90.00 120.00°
Fractional coordinates of all 16 atoms:
Y 0.000 0.000 0.000
Mg 0.010 0.505 0.000
Mg 0.162 0.324 0.267
Mg 0.162 0.324 0.733
Mg 0.162 0.838 0.267
Mg 0.162 0.838 0.733
Mg 0.495 0.505 0.000
Mg 0.495 0.990 0.000
Mg 0.502 0.005 0.500
Mg 0.502 0.498 0.500
Mg 0.667 0.333 0.242
Mg 0.667 0.333 0.758
Mg 0.676 0.838 0.267
Mg 0.676 0.838 0.733
Mg 0.995 0.498 0.500
W 0.000 0.000 0.500

The 12 most intense peaks (5° ≤ 2θ ≤ 70°), by angle:
- d = 5.541 Å, 2θ = 16.0°, I 64.1
- d = 5.087 Å, 2θ = 17.4°, I 17.4
- d = 3.747 Å, 2θ = 23.7°, I 47.1
- d = 2.771 Å, 2θ = 32.3°, I 31.9
- d = 2.708 Å, 2θ = 33.1°, I 21.0
- d = 2.543 Å, 2θ = 35.3°, I 23.4
- d = 2.433 Å, 2θ = 36.9°, I 100.0
- d = 1.937 Å, 2θ = 46.9°, I 17.6
- d = 1.874 Å, 2θ = 48.6°, I 20.1
- d = 1.600 Å, 2θ = 57.6°, I 17.1
- d = 1.446 Å, 2θ = 64.4°, I 17.6
- d = 1.354 Å, 2θ = 69.4°, I 18.3

***

[9]
Diffraction record for UAlAu. The XRD peak list is calculated, not measured: it uses DFT lattice parameters and positions (GGA-PBE) and Cu Kα (weighted mean of Kα1 and Kα2).

Atomic structure:
Cell: 5.636 5.636 5.636 Å, 129.07 120.45 82.12°
Fractional coordinates of all 6 atoms:
U 0.245 0.000 0.245
U 0.755 0.000 0.755
Al 0.338 0.338 0.000
Al 0.662 0.662 0.000
Au 0.174 0.674 0.500
Au 0.826 0.326 0.500

The 12 most intense peaks (5° ≤ 2θ ≤ 70°), by angle:
- d = 4.674 Å, 2θ = 19.0°, I 16.7
- d = 4.210 Å, 2θ = 21.1°, I 28.6
- d = 3.663 Å, 2θ = 24.3°, I 37.4
- d = 2.775 Å, 2θ = 32.3°, I 16.7
- d = 2.446 Å, 2θ = 36.7°, I 100.0
- d = 2.423 Å, 2θ = 37.1°, I 49.2
- d = 2.337 Å, 2θ = 38.5°, I 54.5
- d = 2.330 Å, 2θ = 38.6°, I 94.7
- d = 1.682 Å, 2θ = 54.6°, I 40.6
- d = 1.403 Å, 2θ = 66.7°, I 18.3
- d = 1.392 Å, 2θ = 67.3°, I 24.7
- d = 1.380 Å, 2θ = 67.9°, I 18.9

***

[10]
Diffraction record for NpZn. The XRD peak list is calculated, not measured: it uses DFT lattice parameters and positions (GGA-PBE) and Cu Kα (weighted mean of Kα1 and Kα2).

Atomic structure:
Cell: 2.692 2.692 5.431 Å, 90.00 90.00 120.00°
Fractional coordinates of all 2 atoms:
Np 0.000 0.000 0.000
Zn 0.667 0.333 0.500

The 9 most intense peaks (5° ≤ 2θ ≤ 70°), by angle:
- d = 5.431 Å, 2θ = 16.3°, I 57.4
- d = 2.715 Å, 2θ = 33.0°, I 39.5
- d = 2.331 Å, 2θ = 38.6°, I 35.7
- d = 2.142 Å, 2θ = 42.2°, I 100.0
- d = 1.810 Å, 2θ = 50.4°, I 3.5
- d = 1.769 Å, 2θ = 51.7°, I 31.8
- d = 1.430 Å, 2θ = 65.3°, I 27.8
- d = 1.358 Å, 2θ = 69.2°, I 4.7
- d = 1.346 Å, 2θ = 69.9°, I 13.8